The following is a theoretical powder diffractogram of Pm4NdBi5. It was derived from a GGA-PBE-relaxed structure, using Cu Kα, 1.54184 Å.
No peak broadening, texture or thermal motion is included.

Atomic structure:
Cell: 16.5211 16.5211 16.5211 Å, 164.05 164.05 22.63°
Fractional coordinates of all 10 atoms:
Pm: 0.1001 0.1001 0.0000
Pm: 0.2998 0.2998 0.0000
Pm: 0.7002 0.7002 0.0000
Pm: 0.8999 0.8999 0.0000
Nd: 0.5000 0.5000 0.0000
Bi: 0.0000 0.0000 0.0000
Bi: 0.2000 0.2000 0.0000
Bi: 0.3996 0.3996 0.0000
Bi: 0.6004 0.6004 0.0000
Bi: 0.8000 0.8000 0.0000

Top 8 peaks for 2θ from 15° to 90°, sorted by position:
- 2θ = 23.77°, I 5
- 2θ = 27.52°, I 100
- 2θ = 39.31°, I 79
- 2θ = 48.65°, I 29
- 2θ = 56.81°, I 14
- 2θ = 64.26°, I 38
- 2θ = 71.26°, I 28
- 2θ = 84.55°, I 9